Entry 1:
Theoretical powder XRD pattern of LiTe2S4 for a wavelength of 1.5418 Å, from a cell relaxed with GGA-PBE.
No peak broadening, texture or thermal motion is included.

Crystal structure
abc: 9.036 9.036 8.266
angles: 90.00 90.00 128.99
Fractional positions:
Li1 0.000 0.000 0.250
Li2 0.000 0.000 0.750
Te1 0.219 0.762 0.000
Te2 0.238 0.781 0.500
Te3 0.762 0.219 0.500
Te4 0.781 0.238 0.000
S1 0.000 0.500 0.206
S2 0.000 0.500 0.794
S3 0.051 0.875 0.500
S4 0.125 0.949 0.000
S5 0.500 0.000 0.294
S6 0.500 0.000 0.706
S7 0.875 0.051 0.000
S8 0.949 0.125 0.500

Peak list (12 most intense, 2θ from 5° to 70°, in order of rising 2θ)
- 2θ 10.85, I 100
- 2θ 12.60, I 19
- 2θ 21.50, I 18
- 2θ 21.80, I 17
- 2θ 22.86, I 15
- 2θ 24.14, I 10
- 2θ 31.58, I 28
- 2θ 32.95, I 9
- 2θ 33.49, I 27
- 2θ 38.70, I 13
- 2θ 40.43, I 9
- 2θ 46.26, I 21

=====

Entry 2:
Theoretical powder XRD pattern of Li4TeS4 for a wavelength of 1.5418 Å, from a cell relaxed with GGA-PBE.
No peak broadening, texture or thermal motion is included.

Crystal structure
abc: 7.140 7.140 7.140
angles: 129.35 129.35 74.44
Fractional positions:
Li1 0.000 0.500 0.500
Li2 0.227 0.227 0.000
Li3 0.500 0.000 0.500
Li4 0.773 0.773 0.000
Te1 0.500 0.500 0.000
S1 0.135 0.611 0.000
S2 0.389 0.389 0.524
S3 0.611 0.135 0.000
S4 0.865 0.865 0.476

Peak list (12 most intense, 2θ from 5° to 70°, in order of rising 2θ)
- 2θ 15.58, I 24
- 2θ 16.47, I 100
- 2θ 20.56, I 28
- 2θ 25.91, I 60
- 2θ 27.70, I 25
- 2θ 33.30, I 17
- 2θ 33.74, I 27
- 2θ 37.89, I 11
- 2θ 40.71, I 22
- 2θ 41.83, I 20
- 2θ 43.49, I 35
- 2θ 49.86, I 17

=====

Entry 3:
Theoretical powder XRD pattern of LiTe3S7 for a wavelength of 1.5418 Å, from a cell relaxed with GGA-PBE.
No peak broadening, texture or thermal motion is included.

Crystal structure
abc: 6.225 6.225 6.914
angles: 99.49 99.49 107.32
Fractional positions:
Li1 0.000 0.000 0.000
Te1 0.288 0.712 0.500
Te2 0.500 0.500 0.000
Te3 0.712 0.288 0.500
S1 0.000 0.000 0.500
S2 0.121 0.551 0.795
S3 0.258 0.258 0.349
S4 0.449 0.879 0.205
S5 0.551 0.121 0.795
S6 0.742 0.742 0.651
S7 0.879 0.449 0.205

Peak list (12 most intense, 2θ from 5° to 70°, in order of rising 2θ)
- 2θ 13.33, I 62
- 2θ 15.31, I 96
- 2θ 22.21, I 88
- 2θ 25.13, I 44
- 2θ 26.85, I 36
- 2θ 27.77, I 39
- 2θ 30.77, I 47
- 2θ 31.38, I 100
- 2θ 34.01, I 96
- 2θ 35.81, I 46
- 2θ 36.58, I 96
- 2θ 44.75, I 52

=====

Entry 4:
Theoretical powder XRD pattern of Li2Te2S5 for a wavelength of 1.5418 Å, from a cell relaxed with GGA-PBE.
No peak broadening, texture or thermal motion is included.

Crystal structure
abc: 9.817 9.817 9.817
angles: 64.20 140.13 131.89
Fractional positions:
Li1 0.068 0.127 0.196
Li2 0.068 0.373 0.441
Li3 0.932 0.627 0.559
Li4 0.932 0.873 0.804
Te1 0.526 0.026 0.500
Te2 0.526 0.526 0.000
Te3 0.529 0.818 0.211
Te4 0.607 0.318 0.789
S1 0.156 0.167 0.489
S2 0.216 0.565 0.933
S3 0.216 0.783 0.151
S4 0.494 0.277 0.344
S5 0.494 0.649 0.716
S6 0.632 0.065 0.849
S7 0.632 0.283 0.067
S8 0.678 0.667 0.511
S9 0.933 0.149 0.656
S10 0.933 0.777 0.284

Peak list (12 most intense, 2θ from 5° to 70°, in order of rising 2θ)
- 2θ 17.27, I 100
- 2θ 21.37, I 20
- 2θ 22.22, I 21
- 2θ 27.61, I 57
- 2θ 30.62, I 12
- 2θ 31.02, I 20
- 2θ 34.40, I 18
- 2θ 34.95, I 19
- 2θ 41.33, I 17
- 2θ 42.47, I 19
- 2θ 47.16, I 13
- 2θ 47.63, I 15

=====

Entry 5:
Theoretical powder XRD pattern of LiTlTe2S4 for a wavelength of 1.5418 Å, from a cell relaxed with GGA-PBE.
No peak broadening, texture or thermal motion is included.

Crystal structure
abc: 6.711 6.711 6.711
angles: 118.68 118.34 92.61
Fractional positions:
Li1 0.000 0.000 0.000
Tl1 0.500 0.500 0.000
Te1 0.252 0.752 0.500
Te2 0.748 0.248 0.500
S1 0.058 0.633 0.997
S2 0.364 0.367 0.426
S3 0.636 0.061 0.003
S4 0.942 0.939 0.574

Peak list (12 most intense, 2θ from 5° to 70°, in order of rising 2θ)
- 2θ 16.07, I 45
- 2θ 25.90, I 13
- 2θ 26.04, I 13
- 2θ 26.59, I 100
- 2θ 30.69, I 29
- 2θ 31.75, I 15
- 2θ 37.06, I 30
- 2θ 46.11, I 23
- 2θ 46.27, I 22
- 2θ 47.33, I 28
- 2θ 54.77, I 9
- 2θ 60.64, I 9

=====

Entry 6:
Theoretical powder XRD pattern of LiYThS4 for a wavelength of 1.5418 Å, from a cell relaxed with GGA-PBE.
No peak broadening, texture or thermal motion is included.

Crystal structure
abc: 8.081 8.081 8.081
angles: 121.58 118.15 90.27
Fractional positions:
Li1 0.383 0.133 0.250
Li2 0.617 0.867 0.750
Y1 0.000 0.000 0.500
Y2 0.000 0.500 0.000
Th1 0.000 0.500 0.500
Th2 0.500 0.500 0.000
S1 0.225 0.743 0.481
S2 0.238 0.257 0.981
S3 0.243 0.255 0.512
S4 0.243 0.731 0.988
S5 0.757 0.269 0.012
S6 0.757 0.745 0.488
S7 0.762 0.743 0.019
S8 0.775 0.257 0.519

Peak list (12 most intense, 2θ from 5° to 70°, in order of rising 2θ)
- 2θ 13.19, I 22
- 2θ 13.65, I 100
- 2θ 25.46, I 47
- 2θ 26.02, I 22
- 2θ 26.55, I 13
- 2θ 27.50, I 12
- 2θ 31.27, I 54
- 2θ 31.38, I 27
- 2θ 33.93, I 19
- 2θ 35.06, I 16
- 2θ 41.41, I 16
- 2θ 44.89, I 40

=====

Entry 7:
Theoretical powder XRD pattern of Li2TiS3 for a wavelength of 1.5418 Å, from a cell relaxed with GGA-PBE.
No peak broadening, texture or thermal motion is included.

Crystal structure
abc: 6.182 6.182 6.337
angles: 99.46 99.46 120.03
Fractional positions:
Li1 0.000 0.000 0.000
Li2 0.163 0.837 0.500
Li3 0.500 0.500 0.500
Li4 0.837 0.163 0.500
Ti1 0.332 0.668 0.000
Ti2 0.668 0.332 0.000
S1 0.078 0.430 0.233
S2 0.274 0.274 0.766
S3 0.430 0.078 0.233
S4 0.570 0.922 0.767
S5 0.726 0.726 0.234
S6 0.922 0.570 0.767

Peak list (12 most intense, 2θ from 5° to 70°, in order of rising 2θ)
- 2θ 14.80, I 37
- 2θ 16.56, I 8
- 2θ 17.31, I 13
- 2θ 19.28, I 9
- 2θ 29.32, I 11
- 2θ 30.59, I 11
- 2θ 35.26, I 100
- 2θ 46.03, I 7
- 2θ 50.19, I 21
- 2θ 50.35, I 11
- 2θ 51.19, I 30
- 2θ 63.64, I 10